[1]
This entry pairs a crystal structure of Nd3Al3Ga with its calculated PXRD pattern. Radiation: λ = 1.5418 Å (Cu Kα). Structure: a DFT-relaxed cell (PBE, Alexandria).
Peak positions follow from Bragg's law for the DFT cell and can differ from measured ones.

```
data_Nd3Al3Ga
_chemical_formula_sum 'Nd6 Al6 Ga2'
_cell_length_a 4.325
_cell_length_b 4.374
_cell_length_c 19.222
_cell_angle_alpha 90.00
_cell_angle_beta 90.00
_cell_angle_gamma 90.00
_symmetry_space_group_name_H-M 'I m m 2'
_symmetry_Int_Tables_number 44
loop_
_symmetry_equiv_pos_as_xyz
'x,y,z'
'-x,-y,z'
'-x,y,z'
'x,-y,z'
'x+1/2,y+1/2,z+1/2'
'-x+1/2,-y+1/2,z+1/2'
'-x+1/2,y+1/2,z+1/2'
'x+1/2,-y+1/2,z+1/2'
loop_
_atom_site_label
_atom_site_fract_x
_atom_site_fract_y
_atom_site_fract_z
Nd1 0.000 0.000 0.000
Nd2 0.000 0.000 0.371
Nd3 0.000 0.500 0.683
Al1 0.000 0.000 0.546
Al2 0.000 0.000 0.823
Al3 0.000 0.500 0.249
Ga1 0.000 0.500 0.119
```

Peak list (10 most intense, 2θ from 5° to 70°, by angle)
2θ 24.84, I = 54; 2θ 27.85, I = 17; 2θ 30.52, I = 100; 2θ 30.97, I = 60; 2θ 34.63, I = 18; 2θ 38.85, I = 21; 2θ 41.28, I = 21; 2θ 41.77, I = 21; 2θ 48.77, I = 18; 2θ 52.89, I = 26



[2]
This entry pairs a crystal structure of Li2Al2Ga3 with its calculated PXRD pattern. Radiation: λ = 1.5418 Å (Cu Kα). Structure: a DFT-relaxed cell (PBE, Alexandria).
Peak positions follow from Bragg's law for the DFT cell and can differ from measured ones.

```
data_Li2Al2Ga3
_chemical_formula_sum 'Li2 Al2 Ga3'
_cell_length_a 4.651
_cell_length_b 4.751
_cell_length_c 6.047
_cell_angle_alpha 106.02
_cell_angle_beta 103.82
_cell_angle_gamma 97.15
_symmetry_space_group_name_H-M 'P -1'
_symmetry_Int_Tables_number 2
loop_
_symmetry_equiv_pos_as_xyz
'x,y,z'
'-x,-y,-z'
loop_
_atom_site_label
_atom_site_fract_x
_atom_site_fract_y
_atom_site_fract_z
Li1 0.176 0.102 0.235
Al1 0.390 0.278 0.773
Ga1 0.000 0.500 0.000
Ga2 0.240 0.690 0.522
```

Peak list (10 most intense, 2θ from 5° to 70°, by angle)
2θ 19.86, I = 100; 2θ 25.27, I = 88; 2θ 28.98, I = 49; 2θ 32.02, I = 57; 2θ 32.15, I = 43; 2θ 39.30, I = 80; 2θ 40.63, I = 71; 2θ 40.86, I = 56; 2θ 41.78, I = 75; 2θ 46.86, I = 41



[3]
This entry pairs a crystal structure of Cs4Mn3Cl10 with its calculated PXRD pattern. Radiation: λ = 1.5418 Å (Cu Kα). Structure: a DFT-relaxed cell (PBE, Alexandria).
Peak positions follow from Bragg's law for the DFT cell and can differ from measured ones.

```
data_Cs4Mn3Cl10
_chemical_formula_sum 'Cs8 Mn6 Cl20'
_cell_length_a 5.175
_cell_length_b 5.175
_cell_length_c 37.638
_cell_angle_alpha 90.00
_cell_angle_beta 90.00
_cell_angle_gamma 90.00
_symmetry_space_group_name_H-M 'I 4/m m m'
_symmetry_Int_Tables_number 139
_symmetry_space_group_name_Hall '-I 4 2'
loop_
_atom_site_label
_atom_site_fract_x
_atom_site_fract_y
_atom_site_fract_z
Cs1 0.000 0.000 0.067
Cs2 0.000 0.000 0.201
Mn1 0.000 0.000 0.362
Mn2 0.000 0.000 0.500
Cl1 0.000 0.000 0.296
Cl2 0.000 0.000 0.432
Cl3 0.000 0.500 0.000
Cl4 0.000 0.500 0.136
```

Peak list (10 most intense, 2θ from 5° to 70°, by angle)
2θ 23.86, I = 100; 2θ 24.32, I = 73; 2θ 30.96, I = 81; 2θ 33.33, I = 27; 2θ 34.67, I = 84; 2θ 42.52, I = 44; 2θ 48.85, I = 34; 2θ 49.84, I = 28; 2θ 59.83, I = 22; 2θ 61.28, I = 17



[4]
This entry pairs a crystal structure of Nd5SmDy2Er with its calculated PXRD pattern. Radiation: λ = 1.5418 Å (Cu Kα). Structure: a DFT-relaxed cell (PBE, Alexandria).
Peak positions follow from Bragg's law for the DFT cell and can differ from measured ones.

```
data_Nd5SmDy2Er
_chemical_formula_sum 'Nd20 Sm4 Dy8 Er4'
_cell_length_a 5.662
_cell_length_b 20.464
_cell_length_c 10.741
_cell_angle_alpha 90.00
_cell_angle_beta 90.00
_cell_angle_gamma 90.00
_symmetry_space_group_name_H-M 'C m c 21'
_symmetry_Int_Tables_number 36
loop_
_symmetry_equiv_pos_as_xyz
'x,y,z'
'-x,-y,z+1/2'
'-x,y,z'
'x,-y,z+1/2'
'x+1/2,y+1/2,z'
'-x+1/2,-y+1/2,z+1/2'
'-x+1/2,y+1/2,z'
'x+1/2,-y+1/2,z+1/2'
loop_
_atom_site_label
_atom_site_fract_x
_atom_site_fract_y
_atom_site_fract_z
Nd1 0.000 0.016 0.000
Nd2 0.000 0.280 0.290
Nd3 0.000 0.297 0.685
Nd4 0.000 0.389 0.004
Nd5 0.000 0.481 0.724
Sm1 0.000 0.200 0.990
Dy1 0.000 0.111 0.718
Dy2 0.000 0.116 0.294
Er1 0.000 0.409 0.441
```

Peak list (10 most intense, 2θ from 5° to 70°, by angle)
2θ 26.35, I = 10; 2θ 27.44, I = 14; 2θ 29.85, I = 31; 2θ 31.60, I = 37; 2θ 31.71, I = 100; 2θ 33.37, I = 13; 2θ 46.62, I = 10; 2θ 56.35, I = 20; 2θ 58.21, I = 12; 2θ 60.53, I = 11



[5]
This entry pairs a crystal structure of Tb5Pm8Pb with its calculated PXRD pattern. Radiation: λ = 1.5418 Å (Cu Kα). Structure: a DFT-relaxed cell (PBE, Alexandria).
Peak positions follow from Bragg's law for the DFT cell and can differ from measured ones.

```
data_Tb5Pm8Pb
_chemical_formula_sum 'Tb10 Pm16 Pb2'
_cell_length_a 15.605
_cell_length_b 8.335
_cell_length_c 8.783
_cell_angle_alpha 90.00
_cell_angle_beta 123.51
_cell_angle_gamma 90.00
_symmetry_space_group_name_H-M 'C 1 2 1'
_symmetry_Int_Tables_number 5
loop_
_symmetry_equiv_pos_as_xyz
'x,y,z'
'-x,y,-z'
'x+1/2,y+1/2,z'
'-x+1/2,y+1/2,-z'
loop_
_atom_site_label
_atom_site_fract_x
_atom_site_fract_y
_atom_site_fract_z
Tb1 0.000 0.000 0.000
Tb2 0.037 0.290 0.353
Tb3 0.081 0.668 0.918
Pm1 0.133 0.991 0.706
Pm2 0.138 0.323 0.106
Pm3 0.185 0.688 0.416
Pm4 0.226 0.446 0.799
Pb1 0.000 0.643 0.500
```

Peak list (10 most intense, 2θ from 5° to 70°, by angle)
2θ 24.62, I = 26; 2θ 29.55, I = 31; 2θ 30.72, I = 38; 2θ 31.10, I = 100; 2θ 31.36, I = 96; 2θ 31.55, I = 37; 2θ 32.41, I = 41; 2θ 32.55, I = 22; 2θ 32.97, I = 62; 2θ 54.58, I = 21



[6]
This entry pairs a crystal structure of SbPN2O4F with its calculated PXRD pattern. Radiation: λ = 1.5418 Å (Cu Kα). Structure: a DFT-relaxed cell (PBE, Alexandria).
Peak positions follow from Bragg's law for the DFT cell and can differ from measured ones.

```
data_SbPN2O4F
_chemical_formula_sum 'Sb4 P4 N8 O16 F4'
_cell_length_a 6.594
_cell_length_b 6.594
_cell_length_c 17.937
_cell_angle_alpha 90.00
_cell_angle_beta 90.00
_cell_angle_gamma 90.00
_symmetry_space_group_name_H-M 'I 4/m'
_symmetry_Int_Tables_number 87
_symmetry_space_group_name_Hall '-I 4'
loop_
_atom_site_label
_atom_site_fract_x
_atom_site_fract_y
_atom_site_fract_z
Sb1 0.000 0.000 0.201
P1 0.000 0.500 0.250
N1 0.169 0.691 0.500
O1 0.037 0.317 0.197
F1 0.000 0.000 0.096
```

Peak list (10 most intense, 2θ from 5° to 70°, by angle)
2θ 9.86, I = 100; 2θ 14.31, I = 27; 2θ 19.03, I = 11; 2θ 19.80, I = 10; 2θ 20.05, I = 52; 2θ 27.05, I = 23; 2θ 28.32, I = 21; 2θ 28.85, I = 31; 2θ 37.66, I = 11; 2θ 43.89, I = 10